Entry 1:
The following is a calculated X-ray diffraction stick pattern of In2Te3O9. It was derived from a GGA-PBE-relaxed structure, using Cu Kα, 1.54184 Å.
Peak positions follow from Bragg's law for the DFT cell and can differ from measured ones.

The 8 most intense peaks (2θ = 15–90°), sorted by position:
hkl  d (Å)  2θ (°)  I/Imax
2 0 0  4.111  21.61  30.9
2 0 1  3.303  26.99  100.0
0 5 1  3.088  28.91  99.8
0 0 2  2.773  32.28  21.1
2 5 0  2.757  32.48  34.7
2 5 1  2.469  36.38  16.1
2 5 2  1.955  46.44  33.5
4 0 1  1.928  47.15  15.8

Atomic structure:
abc: 8.2228 18.5799 5.5466
angles: 90.00 90.00 90.00
Fractional positions:
In1 0.1855 0.0634 0.2072
In2 0.1855 0.4366 0.2072
In3 0.3145 0.5634 0.7072
In4 0.3145 0.9366 0.7072
In5 0.6855 0.0634 0.2928
In6 0.6855 0.4366 0.2928
In7 0.8145 0.5634 0.7928
In8 0.8145 0.9366 0.7928
Te1 0.1380 0.6308 0.1863
Te2 0.1380 0.8692 0.1863
Te3 0.1576 0.2500 0.2694
Te4 0.3424 0.7500 0.7694
Te5 0.3620 0.1308 0.6863
Te6 0.3620 0.3692 0.6863
Te7 0.6380 0.6308 0.3137
Te8 0.6380 0.8692 0.3137
Te9 0.6576 0.2500 0.2306
Te10 0.8424 0.7500 0.7306
Te11 0.8620 0.1308 0.8137
Te12 0.8620 0.3692 0.8137
O1 0.0673 0.5725 0.9091
O2 0.0673 0.9275 0.9091
O3 0.1404 0.7500 0.9475
O4 0.1496 0.1261 0.5402
O5 0.1496 0.3739 0.5402
O6 0.1798 0.5415 0.3747
O7 0.1798 0.9585 0.3747
O8 0.2129 0.1732 0.0479
O9 0.2129 0.3268 0.0479
O10 0.2871 0.6732 0.5479
O11 0.2871 0.8268 0.5479
O12 0.3202 0.0415 0.8747
O13 0.3202 0.4585 0.8747
O14 0.3504 0.6261 0.0402
O15 0.3504 0.8739 0.0402
O16 0.3596 0.2500 0.4475
O17 0.4327 0.0725 0.4091
O18 0.4327 0.4275 0.4091
O19 0.5673 0.5725 0.5909
O20 0.5673 0.9275 0.5909
O21 0.6404 0.7500 0.5525
O22 0.6496 0.1261 0.9598
O23 0.6496 0.3739 0.9598
O24 0.6798 0.5415 0.1253
O25 0.6798 0.9585 0.1253
O26 0.7129 0.1732 0.4521
O27 0.7129 0.3268 0.4521
O28 0.7871 0.6732 0.9521
O29 0.7871 0.8268 0.9521
O30 0.8202 0.0415 0.6253
O31 0.8202 0.4585 0.6253
O32 0.8504 0.6261 0.4598
O33 0.8504 0.8739 0.4598
O34 0.8596 0.2500 0.0525
O35 0.9327 0.0725 0.0909
O36 0.9327 0.4275 0.0909

---

Entry 2:
The following is a calculated X-ray diffraction stick pattern of IrN. It was derived from a GGA-PBE-relaxed structure, using Cu Kα, 1.54184 Å.
Peak positions follow from Bragg's law for the DFT cell and can differ from measured ones.

The 8 most intense peaks (2θ = 15–90°), sorted by position:
hkl  d (Å)  2θ (°)  I/Imax
1 0 0  2.681  33.42  100.0
0 0 2  2.594  34.58  28.2
1 0 2  1.864  48.85  80.1
1 1 0  1.548  59.73  23.1
2 0 0  1.341  70.20  12.3
1 1 2  1.329  70.89  22.7
2 0 2  1.191  80.68  18.7
1 0 4  1.168  82.64  16.1

Atomic structure:
abc: 3.0961 3.0961 5.1878
angles: 90.00 90.00 120.00
Fractional positions:
Ir1 0.0000 0.0000 0.0000
Ir2 0.0000 0.0000 0.5000
N1 0.3333 0.6667 0.2500
N2 0.6667 0.3333 0.7500

---

What is the formula in the first record?
In2Te3O9